Computed powder XRD pattern of KNaBeO2 for Cu Kα, 1.54184 Å, from DFT lattice parameters and positions (GGA-PBE).

Main lines, in order of falling intensity (2θ from 10° to 90°):
hkl 1 1 0, 2θ = 23.71°, rel. 100; hkl 1 1 -2, 2θ = 35.73°, rel. 65; hkl 1 1 1, 2θ = 27.83°, rel. 57; hkl 1 1 2, 2θ = 37.08°, rel. 56; hkl 0 1 0, 2θ = 17.88°, rel. 35; hkl 0 2 2, 2θ = 45.89°, rel. 31; hkl 2 2 0, 2θ = 48.53°, rel. 26; hkl 2 0 0, 2θ = 31.18°, rel. 26; hkl 2 0 -2, 2θ = 40.64°, rel. 24; hkl 2 0 2, 2θ = 43.05°, rel. 22

Cell and atoms:
```
KNaBeO2
1.0
5.7451 0.0000 0.0000
0.0000 4.9603 0.0000
-0.3637 0.0000 6.5521
K Na Be O
2 2 2 4
direct
0.0000 0.0648 0.2500 K
0.0000 0.9352 0.7500 K
0.5000 0.4935 0.7500 Na
0.5000 0.5065 0.2500 Na
0.5000 0.0000 0.0000 Be
0.5000 0.0000 0.5000 Be
0.3282 0.2109 0.9931 O
0.3282 0.7891 0.4931 O
0.6718 0.2109 0.5069 O
0.6718 0.7891 0.0069 O
```